Calculated X-ray powder pattern
Compound: ReNiH
Radiation: CuKα
Structure: DFT lattice parameters and positions (GGA-PBE)
Peak positions follow from Bragg's law for the DFT cell and can differ from measured ones.

The 8 most intense peaks (2θ from 10° to 80°), in order of falling intensity:
2θ = 43.59°, I 1000, (1 0 -2)
2θ = 43.46°, I 789, (1 1 -1)
2θ = 18.89°, I 605, (0 0 1)
2θ = 41.13°, I 562, (2 0 0)
2θ = 43.83°, I 397, (1 0 2)
2θ = 38.12°, I 363, (0 1 1)
2θ = 38.84°, I 308, (1 1 0)
2θ = 69.15°, I 241, (0 1 3)

```
data_ReNiH
_chemical_formula_sum 'Re2 Ni2 H2'
_symmetry_space_group_name_H-M 'P 1 21/m 1'
_symmetry_Int_Tables_number 11
_cell_length_a 4.389
_cell_length_b 2.731
_cell_length_c 4.698
_cell_angle_alpha 90.00
_cell_angle_beta 90.38
_cell_angle_gamma 90.00
loop_
_symmetry_equiv_pos_as_xyz
'x,y,z'
'-x,-y,-z'
'-x,y+1/2,-z'
'x,-y+1/2,z'
loop_
_atom_site_label
_atom_site_fract_x
_atom_site_fract_y
_atom_site_fract_z
Re1 0.240 0.250 0.411
Ni1 0.238 0.750 0.926
H1 0.475 0.250 0.778
```